Entry 1:
CaSiN: theoretical X-ray powder pattern (a wavelength of 1.5418 Å), based on a crystal structure in Alexandria, relaxed with GGA-PBE.

Cell and atoms:
Cell lengths 5.484, 7.144, 5.003 Å; angles 90.00, 90.00, 90.00 degrees
Space group Imma (No. 74)
Symmetry-distinct sites (fractional):
Ca 0.000 0.000 0.000 [4 per cell]
Si 0.000 0.250 0.471 [4 per cell]
N 0.250 0.250 0.250 [4 per cell]

Largest 8 diffraction maxima, in order of rising 2θ, 10 to 90 degrees two-theta:
d (Å), I_rel, h k l
4.098, 15, 0 1 1
2.742, 20, 2 0 0
2.569, 100, 1 2 1
2.502, 14, 0 0 2
1.848, 23, 2 0 2
1.548, 19, 3 2 1
1.457, 14, 1 2 3
1.284, 12, 2 4 2



Entry 2:
Ba6PIr: theoretical X-ray powder pattern (a wavelength of 1.5418 Å), based on a crystal structure in Alexandria, relaxed with GGA-PBE.

Cell and atoms:
Cell lengths 7.992, 13.830, 7.983 Å; angles 90.00, 90.14, 90.00 degrees
Space group C2/m (No. 12)
Symmetry-distinct sites (fractional):
Ba 0.150 0.150 0.242 [8 per cell]
Ba 0.200 0.500 0.242 [4 per cell]
P 0.000 0.000 0.500 [2 per cell]
Ir 0.000 0.000 0.000 [2 per cell]

Largest 8 diffraction maxima, in order of rising 2θ, 10 to 90 degrees two-theta:
d (Å), I_rel, h k l
6.918, 54, 1 1 0
3.992, 19, 0 0 2
3.572, 100, 1 3 1
2.823, 43, 2 0 -2
2.485, 16, 3 1 -1
2.306, 28, 3 3 0
2.215, 30, 2 0 3
1.996, 17, 0 0 4